The following is a simulated powder diffractogram of Mn6O5F7. It was derived from a structure optimized by DFT (GGA+U), using Cu Kα X-rays.

Top 6 peaks for 10° ≤ 2θ ≤ 90°, by angle:
24.97 deg, d = 3.566 Å, I = 100
27.69 deg, d = 3.222 Å, I = 78
34.18 deg, d = 2.623 Å, I = 86
50.19 deg, d = 1.818 Å, I = 62
53.20 deg, d = 1.722 Å, I = 22
53.31 deg, d = 1.718 Å, I = 22

Cell and atoms:
Cell: 4.8116 5.7379 7.8957 Å, 85.77 86.39 85.21°
Atoms (fractional coordinates):
1 Mn 0.0000 0.0000 0.0000
2 Mn 0.0041 0.6743 0.3157
3 Mn 0.0268 0.3314 0.6518
4 Mn 0.5248 0.1547 0.3284
5 Mn 0.5342 0.8323 0.6450
6 Mn 0.5867 0.5059 0.9892
7 O 0.3324 0.1274 0.5560
8 O 0.7197 0.1970 0.1079
9 O 0.7226 0.8685 0.4233
10 O 0.7306 0.5454 0.7436
11 O 0.8506 0.7178 0.0972
12 F 0.1932 0.2834 0.8941
13 F 0.2075 0.6242 0.5364
14 F 0.2369 0.9629 0.2209
15 F 0.3242 0.8041 0.8791
16 F 0.3258 0.4661 0.2251
17 F 0.8270 0.0449 0.7568
18 F 0.8319 0.3640 0.4245